Diffraction record for BaCe2EuO6. The X-ray diffraction stick pattern is theoretical, not measured: it uses DFT lattice parameters and positions (GGA-PBE) and a wavelength of 1.5418 Å.

Peak list (10 most intense, 15° ≤ 2θ ≤ 90°, most intense first)
- 2θ 28.38, rel. 100, hkl 1 1 0
- 2θ 50.25, rel. 42, hkl 2 1 2
- 2θ 40.57, rel. 30, hkl 2 0 0
- 2θ 80.87, rel. 22, hkl 3 2 2
- 2θ 58.72, rel. 19, hkl 2 2 0
- 2θ 66.48, rel. 18, hkl 3 1 0
- 2θ 73.81, rel. 6, hkl 2 2 4
- 2θ 87.76, rel. 2, hkl 4 0 0
- 2θ 34.94, rel. 2, hkl 1 1 2
- 2θ 87.88, rel. 1, hkl 0 0 8

Atomic structure:
```
data_BaCe2EuO6
_chemical_formula_sum 'Ba1 Ce2 Eu1 O6'
_cell_length_a 4.449
_cell_length_b 4.449
_cell_length_c 8.888
_cell_angle_alpha 90.00
_cell_angle_beta 90.00
_cell_angle_gamma 90.00
_space_group_name_H-M_alt 'P 4/m m m'
_space_group_IT_number 123
_space_group_name_Hall '-P 4 2'
loop_
_atom_site_label
_atom_site_fract_x
_atom_site_fract_y
_atom_site_fract_z
Ba1 0.000 0.000 0.000
Ce1 0.500 0.500 0.252
Eu1 0.000 0.000 0.500
O1 0.000 0.500 0.255
O2 0.500 0.500 0.000
O3 0.500 0.500 0.500
```

***

Diffraction record for Ba2Ce3Si3O12F. The X-ray diffraction stick pattern is theoretical, not measured: it uses DFT lattice parameters and positions (GGA-PBE) and a wavelength of 1.5418 Å.

Peak list (12 most intense, 15° ≤ 2θ ≤ 90°, most intense first)
- 2θ 29.97, rel. 100, hkl 1 1 2
- 2θ 31.17, rel. 32, hkl 3 0 0
- 2θ 48.88, rel. 32, hkl 0 0 4
- 2θ 45.97, rel. 25, hkl 2 1 3
- 2θ 26.07, rel. 24, hkl 1 0 2
- 2θ 20.63, rel. 21, hkl 2 0 0
- 2θ 21.49, rel. 20, hkl 1 1 1
- 2θ 43.79, rel. 19, hkl 2 2 2
- 2θ 27.41, rel. 19, hkl 2 1 0
- 2θ 47.63, rel. 17, hkl 3 2 1
- 2θ 59.13, rel. 13, hkl 3 0 4
- 2θ 45.10, rel. 13, hkl 3 1 2

Atomic structure:
```
data_Ba2Ce3Si3O12F
_chemical_formula_sum 'Ba4 Ce6 Si6 O24 F2'
_cell_length_a 9.9411
_cell_length_b 9.9411
_cell_length_c 7.4497
_cell_angle_alpha 90.00
_cell_angle_beta 90.00
_cell_angle_gamma 120.00
_space_group_name_H-M_alt 'P 63'
_space_group_IT_number 173
_space_group_name_Hall 'P 6c'
loop_
_atom_site_label
_atom_site_fract_x
_atom_site_fract_y
_atom_site_fract_z
Ba1 0.3333 0.6667 0.0000
Ba2 0.3333 0.6667 0.4957
Ce1 0.0029 0.2541 0.7483
Si1 0.0183 0.3788 0.2480
O1 0.0858 0.5683 0.2468
O2 0.0885 0.3298 0.0732
O3 0.0900 0.3323 0.4231
O4 0.1713 0.7185 0.7485
F1 0.0000 0.0000 0.2565
```